Record 1
Diffraction record for SrSiHgC2. The powder X-ray diffraction pattern is simulated, not measured: it uses a DFT-relaxed cell (GGA-PBE, Alexandria) and Cu Kα (λ = 1.5418 Å).
Neutral-atom scattering factors, no anomalous dispersion.

The 10 most intense peaks (15 to 90 degrees two-theta), by angle:
h k l, Position (°2θ), I (rel.)
1 0 0, 19.49, 30
1 0 1, 26.29, 100
1 1 0, 27.70, 57
0 0 2, 35.36, 20
2 0 0, 39.58, 29
1 1 2, 45.50, 31
2 1 1, 48.14, 40
2 0 2, 54.11, 24
1 0 3, 58.12, 18
3 1 2, 75.97, 14

Atomic structure:
a = 4.554 Å, b = 4.554 Å, c = 5.077 Å
α = 90.00°, β = 90.00°, γ = 90.00°
Space group P4/mmm (No. 123)
Asymmetric unit:
1 Sr 0.000 0.000 0.000 [1 per cell]
2 Si 0.500 0.500 0.000 [1 per cell]
3 Hg 0.500 0.500 0.500 [1 per cell]
4 C 0.000 0.500 0.500 [2 per cell]

***

Record 2
Diffraction record for Y4SnHgC. The powder X-ray diffraction pattern is simulated, not measured: it uses a DFT-relaxed cell (GGA-PBE, Alexandria) and Cu Kα (λ = 1.5418 Å).
Neutral-atom scattering factors, no anomalous dispersion.

The 10 most intense peaks (15 to 90 degrees two-theta), by angle:
h k l, Position (°2θ), I (rel.)
1 1 1, 19.06, 14
2 0 0, 25.76, 36
2 2 0, 28.34, 44
1 5 1, 34.70, 18
2 4 0, 35.06, 100
0 6 0, 35.38, 16
2 0 2, 36.75, 62
2 6 2, 51.93, 21
4 0 0, 52.88, 11
4 4 2, 65.09, 33

Atomic structure:
a = 6.926 Å, b = 15.224 Å, c = 6.909 Å
α = 90.00°, β = 90.00°, γ = 90.00°
Space group Cmcm (No. 63)
Asymmetric unit:
1 Y 0.000 0.083 0.250 [4 per cell]
2 Y 0.000 0.412 0.250 [4 per cell]
3 Y 0.250 0.250 0.000 [8 per cell]
4 Sn 0.000 0.384 0.750 [4 per cell]
5 Hg 0.000 0.116 0.750 [4 per cell]
6 C 0.000 0.249 0.250 [4 per cell]

***

Record 3
Diffraction record for Tb3Hg2C. The powder X-ray diffraction pattern is simulated, not measured: it uses a DFT-relaxed cell (GGA-PBE, Alexandria) and Cu Kα (λ = 1.5418 Å).
Neutral-atom scattering factors, no anomalous dispersion.

The 10 most intense peaks (15 to 90 degrees two-theta), by angle:
h k l, Position (°2θ), I (rel.)
1 1 1, 31.41, 92
1 5 0, 33.87, 100
0 4 1, 34.31, 46
2 0 0, 35.51, 81
2 4 1, 50.21, 31
0 0 2, 51.73, 17
3 5 0, 62.69, 32
1 5 2, 63.27, 34
2 0 2, 64.32, 18
3 5 2, 85.54, 16

Atomic structure:
a = 5.056 Å, b = 15.534 Å, c = 3.535 Å
α = 90.00°, β = 90.00°, γ = 90.00°
Space group Cmmm (No. 65)
Asymmetric unit:
1 Tb 0.000 0.000 0.000 [2 per cell]
2 Tb 0.000 0.387 0.500 [4 per cell]
3 Hg 0.000 0.198 0.000 [4 per cell]
4 C 0.000 0.500 0.000 [2 per cell]

***

Record 4
Diffraction record for Tb8Hg2C3. The powder X-ray diffraction pattern is simulated, not measured: it uses a DFT-relaxed cell (GGA-PBE, Alexandria) and Cu Kα (λ = 1.5418 Å).
Neutral-atom scattering factors, no anomalous dispersion.

The 10 most intense peaks (15 to 90 degrees two-theta), by angle:
h k l, Position (°2θ), I (rel.)
2 0 -2, 27.71, 43
0 2 1, 28.45, 66
1 1 -2, 30.14, 29
4 0 -2, 32.44, 65
2 2 1, 33.01, 100
2 0 2, 34.88, 50
4 2 -1, 35.56, 100
6 0 0, 38.81, 38
2 2 -3, 48.86, 49
0 4 0, 50.24, 29

Atomic structure:
a = 14.571 Å, b = 7.264 Å, c = 6.515 Å
α = 90.00°, β = 107.16°, γ = 90.00°
Space group C2/m (No. 12)
Asymmetric unit:
1 Tb 0.094 0.237 0.387 [8 per cell]
2 Tb 0.101 0.000 0.895 [4 per cell]
3 Tb 0.111 0.500 0.968 [4 per cell]
4 Hg 0.237 0.500 0.673 [4 per cell]
5 C 0.000 0.000 0.500 [2 per cell]
6 C 0.000 0.252 0.000 [4 per cell]

***

Record 5
Diffraction record for Tb7Hg3C2. The powder X-ray diffraction pattern is simulated, not measured: it uses a DFT-relaxed cell (GGA-PBE, Alexandria) and Cu Kα (λ = 1.5418 Å).
Neutral-atom scattering factors, no anomalous dispersion.

The 10 most intense peaks (15 to 90 degrees two-theta), by angle:
h k l, Position (°2θ), I (rel.)
1 5 1, 31.84, 100
2 0 0, 36.39, 19
0 0 2, 36.65, 18
0 10 0, 37.74, 16
2 0 2, 52.60, 13
2 10 0, 53.43, 12
3 5 1, 62.64, 15
1 5 3, 62.99, 14
1 15 1, 64.47, 13
2 10 2, 66.54, 13

Atomic structure:
a = 4.938 Å, b = 23.834 Å, c = 4.904 Å
α = 90.00°, β = 90.00°, γ = 90.00°
Space group Cmmm (No. 65)
Asymmetric unit:
1 Tb 0.000 0.000 0.000 [2 per cell]
2 Tb 0.000 0.102 0.500 [4 per cell]
3 Tb 0.000 0.204 0.000 [4 per cell]
4 Tb 0.000 0.399 0.000 [4 per cell]
5 Hg 0.000 0.300 0.500 [4 per cell]
6 Hg 0.000 0.500 0.500 [2 per cell]
7 C 0.000 0.106 0.000 [4 per cell]

***

Record 6
Diffraction record for HgTe2C. The powder X-ray diffraction pattern is simulated, not measured: it uses a DFT-relaxed cell (GGA-PBE, Alexandria) and Cu Kα (λ = 1.5418 Å).
Neutral-atom scattering factors, no anomalous dispersion.

The 10 most intense peaks (15 to 90 degrees two-theta), by angle:
h k l, Position (°2θ), I (rel.)
1 1 2, 25.57, 100
1 0 3, 25.98, 41
2 1 1, 34.69, 52
1 0 5, 38.75, 15
2 0 4, 41.87, 46
2 2 0, 43.33, 15
3 0 1, 46.69, 15
1 1 6, 48.40, 18
3 1 2, 50.99, 18
3 2 3, 60.65, 16

Atomic structure:
a = 5.906 Å, b = 5.906 Å, c = 12.639 Å
α = 90.00°, β = 90.00°, γ = 90.00°
Space group I-42d (No. 122)
Asymmetric unit:
1 Hg 0.000 0.000 0.000 [4 per cell]
2 Te 0.164 0.250 0.625 [8 per cell]
3 C 0.000 0.000 0.500 [4 per cell]

***

Record 7
Diffraction record for Th5Hg2C. The powder X-ray diffraction pattern is simulated, not measured: it uses a DFT-relaxed cell (GGA-PBE, Alexandria) and Cu Kα (λ = 1.5418 Å).
Neutral-atom scattering factors, no anomalous dispersion.

The 10 most intense peaks (15 to 90 degrees two-theta), by angle:
h k l, Position (°2θ), I (rel.)
1 1 0, 18.15, 46
1 1 3, 28.61, 67
0 0 4, 29.37, 19
1 5 0, 31.74, 100
1 1 4, 34.75, 32
2 0 0, 35.15, 46
0 4 4, 36.40, 18
0 6 3, 38.92, 22
1 5 4, 43.79, 30
2 4 4, 51.51, 19

Atomic structure:
a = 5.105 Å, b = 16.907 Å, c = 12.163 Å
α = 90.00°, β = 90.00°, γ = 90.00°
Space group Cmcm (No. 63)
Asymmetric unit:
1 Th 0.000 0.106 0.119 [8 per cell]
2 Th 0.000 0.281 0.750 [4 per cell]
3 Th 0.000 0.309 0.082 [8 per cell]
4 Hg 0.000 0.083 0.635 [8 per cell]
5 C 0.000 0.222 0.250 [4 per cell]

***

Record 8
Diffraction record for Th4HgC2. The powder X-ray diffraction pattern is simulated, not measured: it uses a DFT-relaxed cell (GGA-PBE, Alexandria) and Cu Kα (λ = 1.5418 Å).
Neutral-atom scattering factors, no anomalous dispersion.

The 10 most intense peaks (15 to 90 degrees two-theta), by angle:
h k l, Position (°2θ), I (rel.)
1 1 2, 27.65, 17
0 2 4, 29.59, 72
0 4 2, 30.76, 46
1 1 3, 31.35, 100
1 3 1, 32.09, 93
1 3 2, 34.09, 22
2 0 0, 47.65, 22
1 3 7, 57.12, 52
2 4 2, 57.79, 17
1 7 3, 59.43, 21

Atomic structure:
a = 3.817 Å, b = 12.845 Å, c = 13.682 Å
α = 90.00°, β = 90.00°, γ = 90.00°
Space group Cmcm (No. 63)
Asymmetric unit:
1 Th 0.000 0.000 0.000 [4 per cell]
2 Th 0.000 0.265 0.103 [8 per cell]
3 Th 0.000 0.414 0.750 [4 per cell]
4 Hg 0.000 0.108 0.750 [4 per cell]
5 C 0.000 0.364 0.563 [8 per cell]